The following is a simulated powder diffraction line list of Li3B4C4. It was derived from a crystal structure in Alexandria, relaxed with GGA-PBE, using copper Kα.
Kinematic intensities with the Lorentz-polarization factor, no thermal factor.

Most intense lines, 2θ from 10° to 90°, by angle:
2θ (°), d (Å), intensity, h k l
25.89, 3.441, 100, 0 0 8
38.02, 2.367, 11, 1 0 0
44.69, 2.028, 7, 1 0 7
46.57, 1.950, 59, 1 0 8
49.67, 1.835, 6, 0 0 15
53.24, 1.721, 12, 0 0 16
68.69, 1.366, 23, 1 1 0
74.75, 1.270, 11, 1 1 8
87.09, 1.119, 8, 2 0 8
89.40, 1.096, 6, 1 1 15

Cell lengths 2.7328, 2.7328, 27.5307 Å; angles 90.00, 90.00, 120.00 degrees
Space group P-6m2 (No. 187)
Inequivalent atoms, fractional coordinates:
Li 0.0000 0.0000 0.0641
Li 0.0000 0.0000 0.1925
Li 0.0000 0.0000 0.3229
B 0.3333 0.6667 0.1281
B 0.3333 0.6667 0.3878
B 0.6667 0.3333 0.0000
B 0.6667 0.3333 0.2567
B 0.6667 0.3333 0.5000
C 0.3333 0.6667 0.0000
C 0.3333 0.6667 0.2564
C 0.3333 0.6667 0.5000
C 0.6667 0.3333 0.1281
C 0.6667 0.3333 0.3853